# 1
For Tc2RuPt, a cell relaxed with PBE gives the calculated X-ray powder pattern in this record (λ = 1.5418 Å (Cu Kα)).
Lines closer than 0.1° are merged.

Peak list (10 most intense, 2θ = 10–90°, sorted by position)
- 23.2°, 3.828 Å, intensity 3, (0 0 2)
- 25.6°, 3.476 Å, intensity 11, (1 0 1)
- 40.3°, 2.238 Å, intensity 100, (1 1 2)
- 46.6°, 1.951 Å, intensity 33, (2 0 0)
- 47.5°, 1.914 Å, intensity 16, (0 0 4)
- 68.0°, 1.379 Å, intensity 11, (2 2 0)
- 68.7°, 1.366 Å, intensity 20, (2 0 4)
- 82.1°, 1.174 Å, intensity 25, (3 1 2)
- 83.5°, 1.158 Å, intensity 13, (1 1 6)
- 87.1°, 1.119 Å, intensity 11, (2 2 4)

Structural model:
```
data_Tc2RuPt
_space_group_name_H-M_alt 'I -4 m 2'
_space_group_IT_number 119
_space_group_name_Hall 'I -4 -2'
_cell_length_a 3.9016
_cell_length_b 3.9016
_cell_length_c 7.6570
_cell_angle_alpha 90.00
_cell_angle_beta 90.00
_cell_angle_gamma 90.00
loop_
_atom_site_label
_atom_site_type_symbol
_atom_site_fract_x
_atom_site_fract_y
_atom_site_fract_z
Tc1 Tc 0.0000 0.0000 0.0000
Tc2 Tc 0.0000 0.5000 0.2500
Ru1 Ru 0.0000 0.5000 0.7500
Pt1 Pt 0.0000 0.0000 0.5000
```

# 2
For Te2RuPt, a cell relaxed with PBE gives the calculated X-ray powder pattern in this record (λ = 1.5418 Å (Cu Kα)).
Lines closer than 0.1° are merged.

Peak list (10 most intense, 2θ = 10–90°, sorted by position)
- 13.3°, 6.642 Å, intensity 44, (0 0 3)
- 31.3°, 2.855 Å, intensity 100, (1 0 4)
- 40.9°, 2.204 Å, intensity 35, (1 0 7)
- 44.7°, 2.026 Å, intensity 13, (0 1 8)
- 45.1°, 2.012 Å, intensity 49, (1 1 0)
- 47.2°, 1.925 Å, intensity 11, (1 1 3)
- 55.9°, 1.644 Å, intensity 19, (0 2 4)
- 57.3°, 1.607 Å, intensity 22, (0 1 11)
- 74.5°, 1.273 Å, intensity 16, (2 1 4)
- 88.1°, 1.109 Å, intensity 13, (1 1 15)

Structural model:
```
data_Te2RuPt
_space_group_name_H-M_alt 'R 3 m'
_space_group_IT_number 160
_space_group_name_Hall 'R 3 -2"'
_cell_length_a 4.0230
_cell_length_b 4.0230
_cell_length_c 19.9270
_cell_angle_alpha 90.00
_cell_angle_beta 90.00
_cell_angle_gamma 120.00
loop_
_atom_site_label
_atom_site_type_symbol
_atom_site_fract_x
_atom_site_fract_y
_atom_site_fract_z
Te1 Te 0.0000 0.0000 0.0000
Te2 Te 0.0000 0.0000 0.1923
Ru1 Ru 0.0000 0.0000 0.7343
Pt1 Pt 0.0000 0.0000 0.4613
```

# 3
For TiRuPt, a cell relaxed with PBE gives the calculated X-ray powder pattern in this record (λ = 1.5418 Å (Cu Kα)).
Lines closer than 0.1° are merged.

Peak list (10 most intense, 2θ = 10–90°, sorted by position)
- 24.8°, 3.595 Å, intensity 13, (0 1 1)
- 39.9°, 2.260 Å, intensity 100, (1 1 3)
- 45.3°, 2.001 Å, intensity 17, (0 0 6)
- 45.5°, 1.995 Å, intensity 17, (2 0 0)
- 48.3°, 1.884 Å, intensity 14, (0 2 0)
- 66.1°, 1.413 Å, intensity 11, (2 0 6)
- 80.0°, 1.199 Å, intensity 13, (1 1 9)
- 80.2°, 1.197 Å, intensity 13, (3 1 3)
- 84.4°, 1.148 Å, intensity 11, (1 3 3)
- 86.0°, 1.130 Å, intensity 11, (2 2 6)

Structural model:
```
data_TiRuPt
_space_group_name_H-M_alt 'A m m 2'
_space_group_IT_number 38
_cell_length_a 3.9892
_cell_length_b 3.7675
_cell_length_c 12.0070
_cell_angle_alpha 90.00
_cell_angle_beta 90.00
_cell_angle_gamma 90.00
loop_
_space_group_symop_operation_xyz
'x,y,z'
'-x,-y,z'
'-x,y,z'
'x,-y,z'
'x,y+1/2,z+1/2'
'-x,-y+1/2,z+1/2'
'-x,y+1/2,z+1/2'
'x,-y+1/2,z+1/2'
loop_
_atom_site_label
_atom_site_type_symbol
_atom_site_fract_x
_atom_site_fract_y
_atom_site_fract_z
Ti1 Ti 0.0000 0.0000 0.0000
Ti2 Ti 0.5000 0.0000 0.1895
Ru1 Ru 0.0000 0.0000 0.3494
Ru2 Ru 0.0000 0.0000 0.6811
Pt1 Pt 0.5000 0.0000 0.5157
Pt2 Pt 0.5000 0.0000 0.8441
```

# 4
For Tm4RuPt2, a cell relaxed with PBE gives the calculated X-ray powder pattern in this record (λ = 1.5418 Å (Cu Kα)).
Lines closer than 0.1° are merged.

Peak list (10 most intense, 2θ = 10–90°, sorted by position)
- 22.6°, 3.926 Å, intensity 20, (1 0 1)
- 37.2°, 2.415 Å, intensity 100, (1 1 2)
- 37.7°, 2.383 Å, intensity 48, (2 0 0)
- 44.5°, 2.037 Å, intensity 7, (2 1 1)
- 52.9°, 1.731 Å, intensity 9, (0 0 4)
- 54.4°, 1.685 Å, intensity 17, (2 2 0)
- 66.8°, 1.401 Å, intensity 18, (2 0 4)
- 67.8°, 1.382 Å, intensity 35, (3 1 2)
- 79.3°, 1.208 Å, intensity 11, (2 2 4)
- 89.8°, 1.092 Å, intensity 9, (1 1 6)

Structural model:
```
data_Tm4RuPt2
_space_group_name_H-M_alt 'P 4/m m m'
_space_group_IT_number 123
_space_group_name_Hall '-P 4 2'
_cell_length_a 4.7665
_cell_length_b 4.7665
_cell_length_c 6.9253
_cell_angle_alpha 90.00
_cell_angle_beta 90.00
_cell_angle_gamma 90.00
loop_
_atom_site_label
_atom_site_type_symbol
_atom_site_fract_x
_atom_site_fract_y
_atom_site_fract_z
Tm1 Tm 0.0000 0.5000 0.2448
Ru1 Ru 0.0000 0.0000 0.0000
Pt1 Pt 0.0000 0.0000 0.5000
Pt2 Pt 0.5000 0.5000 0.0000
```

# 5
For U4RuPt, a cell relaxed with PBE gives the calculated X-ray powder pattern in this record (λ = 1.5418 Å (Cu Kα)).
Lines closer than 0.1° are merged.

Peak list (10 most intense, 2θ = 10–90°, sorted by position)
- 35.2°, 2.548 Å, intensity 100, (0 2 0)
- 35.6°, 2.520 Å, intensity 65, (1 1 -1)
- 36.3°, 2.476 Å, intensity 27, (1 1 2)
- 37.2°, 2.418 Å, intensity 58, (-1 1 1)
- 40.3°, 2.237 Å, intensity 18, (2 0 1)
- 40.6°, 2.224 Å, intensity 26, (2 1 1)
- 45.3°, 2.003 Å, intensity 13, (1 2 2)
- 47.7°, 1.908 Å, intensity 21, (2 -1 1)
- 48.3°, 1.885 Å, intensity 14, (2 2 1)
- 55.7°, 1.650 Å, intensity 12, (1 -2 2)

Structural model:
```
data_U4RuPt
_space_group_name_H-M_alt 'P 1'
_space_group_IT_number 1
_cell_length_a 4.5905
_cell_length_b 5.2234
_cell_length_c 5.3538
_cell_angle_alpha 80.95
_cell_angle_beta 69.79
_cell_angle_gamma 78.57
loop_
_space_group_symop_operation_xyz
'x,y,z'
loop_
_atom_site_label
_atom_site_type_symbol
_atom_site_fract_x
_atom_site_fract_y
_atom_site_fract_z
U1 U 0.0000 0.0000 0.0000
U2 U 0.0553 0.5841 0.5729
U3 U 0.3203 0.0101 0.3202
U4 U 0.3966 0.5754 0.8682
Ru1 Ru 0.6529 0.0907 0.6662
Pt1 Pt 0.7355 0.4811 0.2372
```

# 6
For URuPt, a cell relaxed with PBE gives the calculated X-ray powder pattern in this record (λ = 1.5418 Å (Cu Kα)).
Lines closer than 0.1° are merged.

Peak list (10 most intense, 2θ = 10–90°, sorted by position)
- 22.4°, 3.977 Å, intensity 16, (1 0 0)
- 38.2°, 2.355 Å, intensity 100, (0 1 1)
- 39.2°, 2.296 Å, intensity 89, (1 1 0)
- 55.9°, 1.644 Å, intensity 34, (2 0 1)
- 68.4°, 1.372 Å, intensity 16, (1 0 2)
- 70.4°, 1.337 Å, intensity 35, (1 2 1)
- 71.1°, 1.326 Å, intensity 16, (3 0 0)
- 77.4°, 1.233 Å, intensity 5, (1 1 2)
- 81.8°, 1.178 Å, intensity 10, (0 2 2)
- 84.4°, 1.148 Å, intensity 10, (2 2 0)

Structural model:
```
data_URuPt
_space_group_name_H-M_alt 'P 3 m 1'
_space_group_IT_number 156
_cell_length_a 4.5923
_cell_length_b 4.5923
_cell_length_c 2.9225
_cell_angle_alpha 90.00
_cell_angle_beta 90.00
_cell_angle_gamma 120.00
loop_
_space_group_symop_operation_xyz
'x,y,z'
'-y,x-y,z'
'-x+y,-x,z'
'-y,-x,z'
'-x+y,y,z'
'x,x-y,z'
loop_
_atom_site_label
_atom_site_type_symbol
_atom_site_fract_x
_atom_site_fract_y
_atom_site_fract_z
U1 U 0.0000 0.0000 0.0000
Ru1 Ru 0.6667 0.3333 0.7617
Pt1 Pt 0.3333 0.6667 0.3661
```

# 7
For V3Ru2Pt3, a cell relaxed with PBE gives the calculated X-ray powder pattern in this record (λ = 1.5418 Å (Cu Kα)).
Lines closer than 0.1° are merged.

Peak list (10 most intense, 2θ = 10–90°, sorted by position)
- 24.0°, 3.705 Å, intensity 28, (1 0 1)
- 28.6°, 3.118 Å, intensity 13, (0 1 3)
- 37.2°, 2.419 Å, intensity 13, (0 1 5)
- 40.5°, 2.229 Å, intensity 100, (1 1 4)
- 46.1°, 1.968 Å, intensity 17, (0 2 0)
- 47.4°, 1.917 Å, intensity 15, (0 0 8)
- 47.6°, 1.909 Å, intensity 16, (2 0 0)
- 81.6°, 1.180 Å, intensity 13, (1 3 4)
- 83.5°, 1.158 Å, intensity 11, (1 1 12)
- 83.8°, 1.155 Å, intensity 12, (3 1 4)

Structural model:
```
data_V3Ru2Pt3
_space_group_name_H-M_alt 'I m m m'
_space_group_IT_number 71
_space_group_name_Hall '-I 2 2'
_cell_length_a 3.8179
_cell_length_b 3.9353
_cell_length_c 15.3331
_cell_angle_alpha 90.00
_cell_angle_beta 90.00
_cell_angle_gamma 90.00
loop_
_atom_site_label
_atom_site_type_symbol
_atom_site_fract_x
_atom_site_fract_y
_atom_site_fract_z
V1 V 0.0000 0.0000 0.0000
V2 V 0.0000 0.5000 0.1366
Ru1 Ru 0.0000 0.0000 0.2535
Pt1 Pt 0.0000 0.0000 0.5000
Pt2 Pt 0.0000 0.5000 0.3784
```

# 8
For V3RuPt, a cell relaxed with PBE gives the calculated X-ray powder pattern in this record (λ = 1.5418 Å (Cu Kα)).
Lines closer than 0.1° are merged.

Peak list (10 most intense, 2θ = 10–90°, sorted by position)
- 16.3°, 5.445 Å, intensity 16, (0 0 1)
- 18.2°, 4.879 Å, intensity 36, (0 1 0)
- 26.2°, 3.395 Å, intensity 18, (1 -1 0)
- 32.9°, 2.722 Å, intensity 40, (0 0 2)
- 37.5°, 2.400 Å, intensity 17, (2 0 0)
- 41.7°, 2.167 Å, intensity 46, (2 1 0)
- 41.8°, 2.161 Å, intensity 52, (1 -2 0)
- 42.2°, 2.140 Å, intensity 100, (1 2 2)
- 42.7°, 2.117 Å, intensity 95, (2 0 2)
- 78.2°, 1.223 Å, intensity 21, (0 3 4)

Structural model:
```
data_V3RuPt
_space_group_name_H-M_alt 'P -1'
_space_group_IT_number 2
_cell_length_a 5.0231
_cell_length_b 5.1007
_cell_length_c 5.9258
_cell_angle_alpha 73.09
_cell_angle_beta 72.89
_cell_angle_gamma 84.27
loop_
_space_group_symop_operation_xyz
'x,y,z'
'-x,-y,-z'
loop_
_atom_site_label
_atom_site_type_symbol
_atom_site_fract_x
_atom_site_fract_y
_atom_site_fract_z
V1 V 0.0022 0.0016 0.2581
V2 V 0.3825 0.1859 0.8506
V3 V 0.3830 0.1885 0.3648
Ru1 Ru 0.2240 0.6135 0.5391
Pt1 Pt 0.2251 0.6149 0.0401
```